Entry 1:
Simulated powder XRD pattern
Compound: Pa2PPbN5
Radiation: copper Kα
Structure: a crystal structure in Alexandria, relaxed with GGA-PBE
Lines closer than 0.1° are merged.

The 10 most intense peaks (2θ = 10–80°), sorted by position:
- 16.3 deg, I 21.1, hkl 0 0 1
- 24.9 deg, I 32.6, hkl 1 1 1
- 29.7 deg, I 28.0, hkl 2 1 0
- 31.3 deg, I 100.0, hkl 2 0 1
- 33.0 deg, I 32.7, hkl 0 0 2
- 34.1 deg, I 54.1, hkl 2 1 1
- 37.9 deg, I 22.7, hkl 2 2 0
- 42.6 deg, I 23.5, hkl 3 1 0
- 45.0 deg, I 31.0, hkl 2 1 2
- 59.2 deg, I 20.8, hkl 4 1 1

Cell and atoms:
```
data_Pa2PPbN5
_chemical_formula_sum 'Pa4 P2 Pb2 N10'
_symmetry_space_group_name_H-M 'P 4/m b m'
_symmetry_Int_Tables_number 127
_symmetry_space_group_name_Hall '-P 4 2ab'
_cell_length_a 6.716
_cell_length_b 6.716
_cell_length_c 5.425
_cell_angle_alpha 90.00
_cell_angle_beta 90.00
_cell_angle_gamma 90.00
loop_
_atom_site_label
_atom_site_fract_x
_atom_site_fract_y
_atom_site_fract_z
Pa1 0.184 0.316 0.000
P1 0.000 0.500 0.500
Pb1 0.000 0.000 0.500
N1 0.000 0.000 0.000
N2 0.130 0.630 0.263
```

***

Entry 2:
Simulated powder XRD pattern
Compound: La4Sm5
Radiation: copper Kα
Structure: a crystal structure in Alexandria, relaxed with GGA-PBE
Lines closer than 0.1° are merged.

The 10 most intense peaks (2θ = 10–80°), sorted by position:
- 28.0 deg, I 17.6, hkl 2 2 -1
- 29.2 deg, I 92.3, hkl 3 3 0
- 30.9 deg, I 100.0, hkl 1 3 -1
- 31.7 deg, I 26.5, hkl 4 2 0
- 32.1 deg, I 90.1, hkl 2 0 1
- 33.8 deg, I 20.1, hkl 1 5 0
- 48.3 deg, I 17.7, hkl 2 0 -2
- 50.8 deg, I 32.5, hkl 5 5 -1
- 54.5 deg, I 15.3, hkl 5 3 1
- 60.2 deg, I 18.4, hkl 2 8 -1

Cell and atoms:
```
data_La4Sm5
_chemical_formula_sum 'La8 Sm10'
_symmetry_space_group_name_H-M 'C 1 2/m 1'
_symmetry_Int_Tables_number 12
_symmetry_space_group_name_Hall '-C 2y'
_cell_length_a 12.983
_cell_length_b 13.587
_cell_length_c 3.768
_cell_angle_alpha 90.00
_cell_angle_beta 106.78
_cell_angle_gamma 90.00
loop_
_atom_site_label
_atom_site_fract_x
_atom_site_fract_y
_atom_site_fract_z
La1 0.142 0.188 0.143
Sm1 0.000 0.000 0.500
Sm2 0.000 0.374 0.500
Sm3 0.204 0.500 0.204
```

***

Entry 3:
Simulated powder XRD pattern
Compound: PaBe2Ir2Rh
Radiation: copper Kα
Structure: a crystal structure in Alexandria, relaxed with GGA-PBE
Lines closer than 0.1° are merged.

The 10 most intense peaks (2θ = 10–80°), sorted by position:
- 22.7 deg, I 7.5, hkl 1 0 1
- 33.8 deg, I 3.7, hkl 1 0 3
- 34.7 deg, I 100.0, hkl 1 1 2
- 35.1 deg, I 25.4, hkl 0 0 4
- 42.7 deg, I 30.2, hkl 2 0 0
- 56.4 deg, I 26.4, hkl 2 0 4
- 62.0 deg, I 10.1, hkl 2 2 0
- 62.7 deg, I 19.1, hkl 1 1 6
- 73.1 deg, I 23.7, hkl 3 1 2
- 73.3 deg, I 12.2, hkl 2 2 4

Cell and atoms:
```
data_PaBe2Ir2Rh
_chemical_formula_sum 'Pa2 Be4 Ir4 Rh2'
_symmetry_space_group_name_H-M 'I 4/m m m'
_symmetry_Int_Tables_number 139
_symmetry_space_group_name_Hall '-I 4 2'
_cell_length_a 4.234
_cell_length_b 4.234
_cell_length_c 10.226
_cell_angle_alpha 90.00
_cell_angle_beta 90.00
_cell_angle_gamma 90.00
loop_
_atom_site_label
_atom_site_fract_x
_atom_site_fract_y
_atom_site_fract_z
Pa1 0.000 0.000 0.000
Be1 0.000 0.000 0.295
Ir1 0.000 0.500 0.250
Rh1 0.000 0.000 0.500
```